1.
Calculated powder XRD pattern
Compound: MnPtCl6
Radiation: a wavelength of 1.5418 Å
Structure: a structure optimized by DFT (GGA-PBE)
Intensities are scaled so that the largest is 100.

Largest 12 diffraction maxima, in order of rising 2θ, 2θ from 5° to 70°:
2θ/deg, intensity, h k l
14.18, 12, 0 0 1
15.21, 100, 1 1 0
20.81, 14, 0 2 1
20.94, 7, 1 1 1
26.51, 7, 1 3 0
30.25, 12, 1 3 1
30.70, 7, 2 2 0
39.50, 13, 1 3 2
41.00, 8, 2 4 0
46.79, 10, 3 3 0
50.86, 6, 1 5 2
57.01, 7, 4 2 0

Structure:
```
data_MnPtCl6
_chemical_formula_sum 'Mn2 Pt2 Cl12'
_symmetry_space_group_name_H-M 'C 1 2/m 1'
_symmetry_Int_Tables_number 12
_symmetry_space_group_name_Hall '-C 2y'
_cell_length_a 6.7271
_cell_length_b 11.6461
_cell_length_c 6.2450
_cell_angle_alpha 90.00
_cell_angle_beta 90.54
_cell_angle_gamma 90.00
loop_
_atom_site_label
_atom_site_fract_x
_atom_site_fract_y
_atom_site_fract_z
Mn1 0.0000 0.0000 0.0000
Pt1 0.0000 0.0000 0.5000
Cl1 0.1396 0.1396 0.7298
Cl2 0.2210 0.5000 0.7259
```

=====

2.
Calculated powder XRD pattern
Compound: SrZrAg2Cl8
Radiation: a wavelength of 1.5418 Å
Structure: a structure optimized by DFT (GGA-PBE)
Intensities are scaled so that the largest is 100.

Largest 12 diffraction maxima, in order of rising 2θ, 2θ from 5° to 70°:
2θ/deg, intensity, h k l
15.06, 61, 0 1 1
17.36, 100, 1 1 0
18.86, 25, 1 1 1
20.70, 70, 1 -1 0
25.43, 34, 1 0 -2
27.21, 45, 2 0 0
28.47, 38, 0 1 -2
30.35, 27, 0 2 2
32.41, 30, 0 1 3
45.60, 35, 2 3 0
46.06, 26, -1 3 2
46.64, 26, 3 0 -2

Structure:
```
data_SrZrAg2Cl8
_chemical_formula_sum 'Sr1 Zr1 Ag2 Cl8'
_symmetry_space_group_name_H-M 'P -1'
_symmetry_Int_Tables_number 2
_symmetry_space_group_name_Hall '-P 1'
_cell_length_a 6.6554
_cell_length_b 6.9001
_cell_length_c 8.4122
_cell_angle_alpha 75.72
_cell_angle_beta 89.05
_cell_angle_gamma 80.16
loop_
_atom_site_label
_atom_site_fract_x
_atom_site_fract_y
_atom_site_fract_z
Sr1 0.0000 0.0000 0.0000
Zr1 0.0000 0.0000 0.5000
Ag1 0.4831 0.3611 0.2096
Cl1 0.1043 0.2311 0.2391
Cl2 0.1332 0.1978 0.6725
Cl3 0.3363 0.7765 0.5138
Cl4 0.3898 0.7426 0.0571
```

=====

3.
Calculated powder XRD pattern
Compound: SiHCl
Radiation: a wavelength of 1.5418 Å
Structure: a structure optimized by DFT (GGA-PBE)
Intensities are scaled so that the largest is 100.

Largest 12 diffraction maxima, in order of rising 2θ, 2θ from 5° to 70°:
2θ/deg, intensity, h k l
15.77, 55, 2 0 0
22.69, 100, 2 0 1
23.84, 34, 1 1 0
27.44, 46, 1 1 -1
28.46, 92, 1 1 1
33.41, 20, 4 0 -1
38.66, 20, 1 1 2
45.87, 18, 0 2 0
46.46, 41, 3 1 2
51.76, 18, 2 2 1
52.76, 20, 5 1 -2
53.50, 21, 3 1 -3

Structure:
```
data_SiHCl
_chemical_formula_sum 'Si4 H4 Cl4'
_symmetry_space_group_name_H-M 'C 1 2/m 1'
_symmetry_Int_Tables_number 12
_symmetry_space_group_name_Hall '-C 2y'
_cell_length_a 11.3217
_cell_length_b 3.9569
_cell_length_c 6.2029
_cell_angle_alpha 90.00
_cell_angle_beta 97.00
_cell_angle_gamma 90.00
loop_
_atom_site_label
_atom_site_fract_x
_atom_site_fract_y
_atom_site_fract_z
Si1 0.2420 0.0000 0.3949
H1 0.1280 0.0000 0.2462
Cl1 0.1179 0.5000 0.7944
```